Starting from a DFT-relaxed cell (PBE, Alexandria), the powder XRD pattern of Ac5Tb2Pr6 was calculated for Cu Ka.
Intensities are scaled so that the largest is 100.

Crystal structure
abc: 12.1132 22.1208 3.8247
angles: 90.00 90.00 90.00
Element x y z (fractional)
Ac 0.0000 0.0000 0.0000
Ac 0.0512 0.2882 0.0000
Ac 0.1918 0.5773 0.0000
Ac 0.3082 0.0773 0.0000
Ac 0.4488 0.7882 0.0000
Ac 0.5000 0.5000 0.0000
Ac 0.5512 0.2118 0.0000
Ac 0.6918 0.9227 0.0000
Ac 0.8082 0.4227 0.0000
Ac 0.9488 0.7118 0.0000
Tb 0.2075 0.7313 0.5000
Tb 0.2925 0.2313 0.5000
Tb 0.7075 0.7687 0.5000
Tb 0.7925 0.2687 0.5000
Pr 0.0591 0.1430 0.5000
Pr 0.0840 0.4357 0.5000
Pr 0.1873 0.8692 0.0000
Pr 0.3127 0.3692 0.0000
Pr 0.4160 0.9357 0.5000
Pr 0.4409 0.6430 0.5000
Pr 0.5591 0.3570 0.5000
Pr 0.5840 0.0643 0.5000
Pr 0.6873 0.6308 0.0000
Pr 0.8127 0.1308 0.0000
Pr 0.9160 0.5643 0.5000
Pr 0.9409 0.8570 0.5000

Largest 10 diffraction maxima, in order of falling intensity, 2θ from 10° to 80°:
| index | 2θ (°) | intensity |
| --- | --- | --- |
| 2 4 1 | 32.1 | 100 |
| 2 3 1 | 30.2 | 99 |
| 1 7 0 | 29.2 | 96 |
| 4 1 0 | 29.8 | 88 |
| 1 4 1 | 29.3 | 67 |
| 1 3 1 | 27.3 | 54 |
| 0 0 2 | 47.5 | 45 |
| 3 3 1 | 34.5 | 43 |
| 3 6 0 | 32.9 | 36 |
| 1 10 1 | 48.1 | 33 |